No. 1
For Li2TiFeO4, a GGA+U-relaxed structure gives the simulated XRD peak list in this record (Cu Kα, 1.54184 Å).

Crystal structure
```
data_Li2TiFeO4
_chemical_formula_sum 'Li8 Ti4 Fe4 O16'
_cell_length_a 5.870
_cell_length_b 5.900
_cell_length_c 9.812
_cell_angle_alpha 107.47
_cell_angle_beta 107.34
_cell_angle_gamma 90.08
_symmetry_space_group_name_H-M 'P 1'
_symmetry_Int_Tables_number 1
loop_
_symmetry_equiv_pos_as_xyz
'x,y,z'
loop_
_atom_site_label
_atom_site_type_symbol
_atom_site_fract_x
_atom_site_fract_y
_atom_site_fract_z
Li1 Li 0.000 0.000 0.000
Li2 Li 0.120 0.113 0.751
Li3 Li 0.248 0.754 0.502
Li4 Li 0.373 0.864 0.251
Li5 Li 0.494 0.501 0.003
Li6 Li 0.623 0.614 0.751
Li7 Li 0.747 0.247 0.502
Li8 Li 0.871 0.363 0.251
Ti1 Ti 0.247 0.275 0.501
Ti2 Ti 0.496 0.025 0.000
Ti3 Ti 0.747 0.776 0.501
Ti4 Ti 0.997 0.527 0.002
Fe1 Fe 0.121 0.609 0.747
Fe2 Fe 0.373 0.362 0.254
Fe3 Fe 0.622 0.113 0.754
Fe4 Fe 0.871 0.859 0.247
O1 O 0.005 0.486 0.502
O2 O 0.112 0.583 0.218
O3 O 0.132 0.117 0.285
O4 O 0.238 0.737 0.003
O5 O 0.256 0.235 0.998
O6 O 0.362 0.333 0.717
O7 O 0.381 0.866 0.783
O8 O 0.489 0.485 0.500
O9 O 0.505 0.984 0.499
O10 O 0.598 0.098 0.217
O11 O 0.646 0.630 0.283
O12 O 0.740 0.235 0.000
O13 O 0.754 0.736 0.002
O14 O 0.848 0.848 0.719
O15 O 0.896 0.381 0.784
O16 O 0.989 0.987 0.503
```

Top 10 peaks for 15° ≤ 2θ ≤ 90°, sorted by position:
| 2theta | d_spacing | I_rel |
| --- | --- | --- |
| 23.60 | 3.769 | 100 |
| 36.56 | 2.458 | 8 |
| 36.69 | 2.449 | 8 |
| 37.25 | 2.414 | 19 |
| 40.59 | 2.222 | 30 |
| 43.49 | 2.081 | 52 |
| 49.97 | 1.825 | 11 |
| 50.18 | 1.818 | 11 |
| 56.26 | 1.635 | 10 |
| 61.00 | 1.519 | 28 |



No. 2
For LiNbCrO4, a GGA+U-relaxed structure gives the simulated XRD peak list in this record (Cu Kα, 1.54184 Å).

Crystal structure
```
data_LiNbCrO4
_chemical_formula_sum 'Li4 Nb4 Cr4 O16'
_cell_length_a 6.308
_cell_length_b 6.308
_cell_length_c 8.465
_cell_angle_alpha 90.00
_cell_angle_beta 90.00
_cell_angle_gamma 90.00
_symmetry_space_group_name_H-M 'P 43 2 2'
_symmetry_Int_Tables_number 95
loop_
_symmetry_equiv_pos_as_xyz
'x,y,z'
'-y,x,z+3/4'
'-x,-y,z+1/2'
'y,-x,z+1/4'
'x,-y,-z+1/2'
'-y,-x,-z+3/4'
'-x,y,-z'
'y,x,-z+1/4'
loop_
_atom_site_label
_atom_site_type_symbol
_atom_site_fract_x
_atom_site_fract_y
_atom_site_fract_z
Li1 Li 0.000 0.232 0.000
Nb1 Nb 0.249 0.249 0.625
Cr1 Cr 0.242 0.500 0.250
O1 O 0.003 0.252 0.747
O2 O 0.254 0.496 0.493
```

Top 10 peaks for 15° ≤ 2θ ≤ 90°, sorted by position:
| 2theta | d_spacing | I_rel |
| --- | --- | --- |
| 17.53 | 5.058 | 38 |
| 22.53 | 3.946 | 20 |
| 28.29 | 3.154 | 37 |
| 29.08 | 3.070 | 69 |
| 33.48 | 2.676 | 100 |
| 34.83 | 2.576 | 42 |
| 50.58 | 1.804 | 29 |
| 53.48 | 1.713 | 23 |
| 58.53 | 1.577 | 21 |
| 60.29 | 1.535 | 38 |



No. 3
For CeEu2CrO6, a GGA+U-relaxed structure gives the simulated XRD peak list in this record (Cu Kα, 1.54184 Å).

Crystal structure
```
data_CeEu2CrO6
_chemical_formula_sum 'Ce4 Eu8 Cr4 O24'
_cell_length_a 8.270
_cell_length_b 8.270
_cell_length_c 8.270
_cell_angle_alpha 90.00
_cell_angle_beta 90.00
_cell_angle_gamma 90.00
_symmetry_space_group_name_H-M 'F m -3 m'
_symmetry_Int_Tables_number 225
_symmetry_space_group_name_Hall '-F 4 2 3'
loop_
_atom_site_label
_atom_site_type_symbol
_atom_site_fract_x
_atom_site_fract_y
_atom_site_fract_z
Ce1 Ce 0.000 0.000 0.000
Eu1 Eu 0.250 0.250 0.250
Cr1 Cr 0.000 0.000 0.500
O1 O 0.000 0.000 0.264
```

Top 10 peaks for 15° ≤ 2θ ≤ 90°, sorted by position:
| 2theta | d_spacing | I_rel |
| --- | --- | --- |
| 18.58 | 4.775 | 6 |
| 30.57 | 2.924 | 100 |
| 36.02 | 2.494 | 5 |
| 37.68 | 2.387 | 8 |
| 43.79 | 2.068 | 30 |
| 54.34 | 1.688 | 40 |
| 63.65 | 1.462 | 18 |
| 72.25 | 1.308 | 17 |
| 80.46 | 1.194 | 6 |
| 88.46 | 1.105 | 21 |



No. 4
For BaSmCo4O12, a GGA+U-relaxed structure gives the simulated XRD peak list in this record (Cu Kα, 1.54184 Å).

Crystal structure
```
data_BaSmCo4O12
_chemical_formula_sum 'Ba1 Sm1 Co4 O12'
_cell_length_a 5.392
_cell_length_b 5.392
_cell_length_c 7.556
_cell_angle_alpha 90.00
_cell_angle_beta 90.00
_cell_angle_gamma 90.00
_symmetry_space_group_name_H-M 'P 4/m m m'
_symmetry_Int_Tables_number 123
_symmetry_space_group_name_Hall '-P 4 2'
loop_
_atom_site_label
_atom_site_type_symbol
_atom_site_fract_x
_atom_site_fract_y
_atom_site_fract_z
Ba1 Ba 0.000 0.000 0.000
Sm1 Sm 0.500 0.500 0.500
Co1 Co 0.000 0.500 0.248
O1 O 0.000 0.500 0.000
O2 O 0.000 0.500 0.500
O3 O 0.261 0.261 0.266
```

Top 10 peaks for 15° ≤ 2θ ≤ 90°, sorted by position:
| 2theta | d_spacing | I_rel |
| --- | --- | --- |
| 20.23 | 4.389 | 100 |
| 33.23 | 2.696 | 39 |
| 33.39 | 2.684 | 76 |
| 39.22 | 2.297 | 36 |
| 39.49 | 2.282 | 17 |
| 47.71 | 1.906 | 32 |
| 48.17 | 1.889 | 15 |
| 52.54 | 1.742 | 16 |
| 59.48 | 1.554 | 29 |
| 70.13 | 1.342 | 17 |



No. 5
For MgTiFeO4, a GGA+U-relaxed structure gives the simulated XRD peak list in this record (Cu Kα, 1.54184 Å).

Crystal structure
```
data_MgTiFeO4
_chemical_formula_sum 'Mg1 Ti1 Fe1 O4'
_cell_length_a 3.459
_cell_length_b 5.089
_cell_length_c 5.651
_cell_angle_alpha 106.57
_cell_angle_beta 106.21
_cell_angle_gamma 92.46
_symmetry_space_group_name_H-M 'P 1'
_symmetry_Int_Tables_number 1
loop_
_symmetry_equiv_pos_as_xyz
'x,y,z'
loop_
_atom_site_label
_atom_site_type_symbol
_atom_site_fract_x
_atom_site_fract_y
_atom_site_fract_z
Mg1 Mg 0.000 0.000 0.000
Ti1 Ti 0.332 0.490 0.708
Fe1 Fe 0.632 0.527 0.258
O1 O 0.140 0.333 0.327
O2 O 0.383 0.214 0.845
O3 O 0.508 0.787 0.056
O4 O 0.824 0.645 0.672
```

Top 10 peaks for 15° ≤ 2θ ≤ 90°, sorted by position:
| 2theta | d_spacing | I_rel |
| --- | --- | --- |
| 18.35 | 4.835 | 100 |
| 20.93 | 4.244 | 21 |
| 27.35 | 3.261 | 20 |
| 30.76 | 2.907 | 43 |
| 32.11 | 2.788 | 45 |
| 33.95 | 2.641 | 20 |
| 37.19 | 2.418 | 21 |
| 44.64 | 2.030 | 35 |
| 45.70 | 1.985 | 19 |
| 53.00 | 1.728 | 22 |